Record 1
Calculated X-ray powder pattern of RuN6Cl3 for λ = 1.5418 Å (Cu Kα), from a GGA-PBE-relaxed structure.

Structure:
```
data_RuN6Cl3
_symmetry_space_group_name_H-M 'P 1'
_symmetry_Int_Tables_number 1
_symmetry_space_group_name_Hall 'P 1'
_cell_length_a 12.2338
_cell_length_b 12.2338
_cell_length_c 13.0562
_cell_angle_alpha 100.51
_cell_angle_beta 100.51
_cell_angle_gamma 122.04
loop_
_atom_site_label
_atom_site_type_symbol
_atom_site_fract_x
_atom_site_fract_y
_atom_site_fract_z
Ru1 Ru 0.0000 0.0000 0.0000
Ru2 Ru 0.1232 0.8768 0.5000
Ru3 Ru 0.3765 0.6235 0.0000
Ru4 Ru 0.5000 0.5000 0.5000
Ru5 Ru 0.6235 0.3765 0.0000
Ru6 Ru 0.8768 0.1232 0.5000
N1 N 0.0143 0.0143 0.1586
N2 N 0.0350 0.1950 0.5903
N3 N 0.0591 0.1939 0.0383
N4 N 0.0846 0.2994 0.0562
N5 N 0.1071 0.7636 0.6075
N6 N 0.1824 0.7665 0.3525
N7 N 0.1939 0.0591 0.0383
N8 N 0.1950 0.0350 0.5903
N9 N 0.2040 0.5408 0.9426
N10 N 0.2335 0.8176 0.6475
N11 N 0.2364 0.8929 0.3925
N12 N 0.2994 0.0846 0.0562
N13 N 0.3805 0.3805 0.5765
N14 N 0.3829 0.3829 0.3634
N15 N 0.4016 0.5984 0.5000
N16 N 0.4096 0.5452 0.1090
N17 N 0.4548 0.5904 0.8910
N18 N 0.4592 0.7960 0.0574
N19 N 0.5408 0.2040 0.9426
N20 N 0.5452 0.4096 0.1090
N21 N 0.5904 0.4548 0.8910
N22 N 0.5984 0.4016 0.5000
N23 N 0.6171 0.6171 0.6366
N24 N 0.6195 0.6195 0.4235
N25 N 0.7006 0.9154 0.9438
N26 N 0.7636 0.1071 0.6075
N27 N 0.7665 0.1824 0.3525
N28 N 0.7960 0.4592 0.0574
N29 N 0.8050 0.9650 0.4097
N30 N 0.8061 0.9409 0.9617
N31 N 0.8176 0.2335 0.6475
N32 N 0.8929 0.2364 0.3925
N33 N 0.9154 0.7006 0.9438
N34 N 0.9409 0.8061 0.9617
N35 N 0.9650 0.8050 0.4097
N36 N 0.9857 0.9857 0.8414
Cl1 Cl 0.0019 0.7416 0.6910
Cl2 Cl 0.0881 0.6761 0.2122
Cl3 Cl 0.1104 0.1104 0.8101
Cl4 Cl 0.2365 0.2365 0.5079
Cl5 Cl 0.2584 0.9981 0.3090
Cl6 Cl 0.3239 0.9119 0.7878
Cl7 Cl 0.3389 0.6214 0.6001
Cl8 Cl 0.3786 0.6611 0.3999
Cl9 Cl 0.4715 0.4715 0.1517
Cl10 Cl 0.5285 0.5285 0.8483
Cl11 Cl 0.6214 0.3389 0.6001
Cl12 Cl 0.6611 0.3786 0.3999
Cl13 Cl 0.6761 0.0881 0.2122
Cl14 Cl 0.7416 0.0019 0.6910
Cl15 Cl 0.7635 0.7635 0.4921
Cl16 Cl 0.8896 0.8896 0.1899
Cl17 Cl 0.9119 0.3239 0.7878
Cl18 Cl 0.9981 0.2584 0.3090
```

Peak list (12 most intense, 15° ≤ 2θ ≤ 90°, low angle first)
Position (°2θ)  I/Imax
15.1  55.8
16.1  100.0
16.8  28.7
17.8  46.5
24.0  28.2
24.4  32.8
25.7  16.9
26.2  26.2
27.8  23.0
28.9  22.0
33.5  47.8
40.9  19.5



Record 2
Calculated X-ray powder pattern of Cr5SiB2 for λ = 1.5418 Å (Cu Kα), from a GGA-PBE-relaxed structure.

Structure:
```
data_Cr5SiB2
_symmetry_space_group_name_H-M 'P 1'
_symmetry_Int_Tables_number 1
_symmetry_space_group_name_Hall 'P 1'
_cell_length_a 6.5233
_cell_length_b 6.5233
_cell_length_c 6.5233
_cell_angle_alpha 129.18
_cell_angle_beta 129.18
_cell_angle_gamma 74.72
loop_
_atom_site_label
_atom_site_type_symbol
_atom_site_fract_x
_atom_site_fract_y
_atom_site_fract_z
Cr1 Cr 0.0000 0.0000 0.0000
Cr2 Cr 0.0294 0.5294 0.8333
Cr3 Cr 0.1961 0.0294 0.5000
Cr4 Cr 0.3039 0.8039 0.8333
Cr5 Cr 0.4706 0.3039 0.5000
Cr6 Cr 0.5000 0.5000 0.0000
Cr7 Cr 0.5294 0.6961 0.5000
Cr8 Cr 0.6961 0.1961 0.1667
Cr9 Cr 0.8039 0.9706 0.5000
Cr10 Cr 0.9706 0.4706 0.1667
Si1 Si 0.2500 0.2500 0.0000
Si2 Si 0.7500 0.7500 0.0000
B1 B 0.1194 0.3806 0.5000
B2 B 0.3806 0.8806 0.2612
B3 B 0.6194 0.1194 0.7388
B4 B 0.8806 0.6194 0.5000
```

Peak list (12 most intense, 15° ≤ 2θ ≤ 90°, low angle first)
Position (°2θ)  I/Imax
34.6  14.3
36.9  73.9
41.6  45.5
44.7  100.0
45.8  19.8
47.8  64.2
51.6  55.8
69.9  11.8
74.4  18.3
75.2  15.2
77.5  11.7
81.9  26.0